Entry 1:
Computed X-ray powder pattern of K2CaNd4Nb2O12 for Cu Kα (λ = 1.5418 Å), from a structure optimized by DFT (PBE).
Intensities are scaled so that the largest is 1000.

Cell and atoms:
Cell: 12.681 5.830 9.520 Å, 90.00 102.45 90.00°
Space group C2/m (No. 12)
One atom of each set of equivalent atoms:
K1 0.130 0.000 0.497 [4 per cell]
Ca1 0.000 0.500 0.500 [2 per cell]
Nd1 0.077 0.500 0.176 [4 per cell]
Nd2 0.122 0.000 0.907 [4 per cell]
Nb1 0.183 0.500 0.744 [4 per cell]
O1 0.000 0.246 0.000 [4 per cell]
O2 0.047 0.268 0.712 [8 per cell]
O3 0.180 0.500 0.539 [4 per cell]
O4 0.231 0.246 0.154 [8 per cell]

Most intense lines, 5° ≤ 2θ ≤ 70°, by angle:
h k l, Position (°2θ), d [Å], Rel. int.
0 0 1, 9.5, 9.296, 816
3 1 -1, 26.5, 3.363, 734
1 1 2, 26.7, 3.339, 1000
3 1 -2, 29.9, 2.989, 986
0 2 0, 30.7, 2.915, 487
1 1 3, 34.9, 2.571, 328
4 2 0, 42.6, 2.122, 400
4 2 1, 45.2, 2.006, 372

Entry 2:
Computed X-ray powder pattern of Li9Mg2Hg for Cu Kα (λ = 1.5418 Å), from a structure optimized by DFT (PBE).
Intensities are scaled so that the largest is 1000.

Cell and atoms:
Cell: 9.478 5.501 9.013 Å, 90.00 90.29 90.00°
Space group C2/m (No. 12)
One atom of each set of equivalent atoms:
Li1 0.000 0.000 0.000 [2 per cell]
Li2 0.084 0.255 0.747 [8 per cell]
Li3 0.167 0.500 0.432 [4 per cell]
Li4 0.170 0.000 0.253 [4 per cell]
Mg1 0.166 0.500 0.059 [4 per cell]
Hg1 0.000 0.000 0.500 [2 per cell]

Most intense lines, 5° ≤ 2θ ≤ 70°, by angle:
h k l, Position (°2θ), d [Å], Rel. int.
0 0 1, 9.8, 9.013, 542
2 0 0, 18.7, 4.751, 554
0 0 2, 19.7, 4.506, 249
1 1 -1, 21.1, 4.207, 1000
2 0 1, 21.2, 4.186, 222
2 0 -2, 27.3, 3.271, 408
1 1 -3, 35.3, 2.542, 252
0 2 2, 38.4, 2.347, 268

Entry 3:
Computed X-ray powder pattern of LaInH6Ru for Cu Kα (λ = 1.5418 Å), from a structure optimized by DFT (PBE).
Intensities are scaled so that the largest is 1000.

Cell and atoms:
Cell: 4.7478 4.7478 4.6596 Å, 90.00 90.00 120.00°
Space group P-6m2 (No. 187)
One atom of each set of equivalent atoms:
La1 0.0000 0.0000 0.0000 [1 per cell]
In1 0.3333 0.6667 0.5000 [1 per cell]
H1 0.5260 0.0520 0.2158 [6 per cell]
Ru1 0.6667 0.3333 0.5000 [1 per cell]

Most intense lines, 5° ≤ 2θ ≤ 70°, by angle:
h k l, Position (°2θ), d [Å], Rel. int.
1 0 1, 29.0, 3.083, 1000
1 1 0, 37.9, 2.374, 502
0 0 2, 38.6, 2.330, 154
2 0 1, 48.4, 1.881, 243
1 1 2, 55.2, 1.663, 337
2 1 1, 63.1, 1.474, 214
1 0 3, 64.1, 1.453, 103
3 0 0, 68.5, 1.371, 86

Entry 4:
Computed X-ray powder pattern of Sc2Cu4Ni5 for Cu Kα (λ = 1.5418 Å), from a structure optimized by DFT (PBE).
Intensities are scaled so that the largest is 1000.

Cell and atoms:
Cell: 4.895 8.100 15.594 Å, 90.00 90.00 90.00°
Space group Fmmm (No. 69)
One atom of each set of equivalent atoms:
Sc1 0.000 0.000 0.127 [8 per cell]
Cu1 0.000 0.160 0.371 [16 per cell]
Ni1 0.000 0.000 0.500 [4 per cell]
Ni2 0.250 0.250 0.000 [8 per cell]
Ni3 0.250 0.250 0.250 [8 per cell]

Most intense lines, 5° ≤ 2θ ≤ 70°, by angle:
h k l, Position (°2θ), d [Å], Rel. int.
0 2 0, 22.0, 4.048, 936
1 3 1, 38.5, 2.337, 335
1 3 3, 42.0, 2.152, 818
2 0 4, 43.7, 2.073, 1000
0 0 8, 46.6, 1.949, 615
1 3 5, 48.3, 1.884, 405
2 2 4, 49.4, 1.845, 558
0 4 4, 50.8, 1.797, 340